Structure and simulated X-ray powder pattern of CaPr2Nd3 (a GGA-PBE-relaxed structure; λ = 1.5418 Å (Cu Kα)).
Intensities are scaled so that the largest is 100.

Most intense lines, 2θ = 15–90°, sorted by position:
2θ = 27.68°, I 15
2θ = 28.55°, I 14
2θ = 28.66°, I 30
2θ = 29.54°, I 49
2θ = 31.35°, I 53
2θ = 31.45°, I 100
2θ = 35.64°, I 25
2θ = 40.90°, I 15
2θ = 48.81°, I 24
2θ = 53.63°, I 22
2θ = 58.09°, I 28
2θ = 59.35°, I 17

Cell and atoms:
a = 9.8842 Å, b = 9.8842 Å, c = 12.0948 Å
α = 90.00°, β = 90.00°, γ = 158.33°
Atoms (fractional coordinates):
Ca 0.2229 0.7771 0.7500
Ca 0.7771 0.2229 0.2500
Pr 0.0000 0.0000 0.0000
Pr 0.0000 0.0000 0.5000
Pr 0.4463 0.5537 0.2500
Pr 0.5537 0.4463 0.7500
Nd 0.1076 0.8924 0.2500
Nd 0.3354 0.6646 0.5042
Nd 0.3354 0.6646 0.9958
Nd 0.6646 0.3354 0.0042
Nd 0.6646 0.3354 0.4958
Nd 0.8924 0.1076 0.7500